# 1
Structure and simulated powder diffractogram of Mg5Ge (a DFT-relaxed cell (PBE, the Materials Project); Cu Ka).
No peak broadening, texture or thermal motion is included.

Structure:
Unit cell a=5.123 b=8.102 c=8.102 alpha=22.57 beta=90.00 gamma=90.00
Fractional positions:
Mg (0.000, 0.000, 0.000)
Mg (0.000, 0.321, 0.321)
Mg (0.500, 0.210, 0.210)
Mg (0.500, 0.549, 0.549)
Mg (0.500, 0.882, 0.882)
Ge (0.000, 0.658, 0.658)

Most intense lines, 10° ≤ 2θ ≤ 90°, sorted by position:
two_theta, d (Å), intensity
11.1, 7.946, 41
20.6, 4.306, 19
32.9, 2.721, 26
35.0, 2.562, 39
37.4, 2.403, 100
38.3, 2.353, 45
48.8, 1.865, 17
60.0, 1.543, 15
64.4, 1.446, 19
71.4, 1.322, 17

=====

# 2
Structure and simulated powder diffractogram of Mg19Ge5 (a DFT-relaxed cell (PBE, the Materials Project); Cu Ka).
No peak broadening, texture or thermal motion is included.

Structure:
Unit cell a=8.153 b=8.153 c=8.153 alpha=90.00 beta=90.00 gamma=90.00
Fractional positions:
Mg (0.000, 0.000, 0.500)
Mg (0.000, 0.500, 0.000)
Mg (0.125, 0.125, 0.875)
Mg (0.125, 0.875, 0.125)
Mg (0.126, 0.375, 0.625)
Mg (0.126, 0.625, 0.375)
Mg (0.375, 0.126, 0.625)
Mg (0.375, 0.375, 0.874)
Mg (0.375, 0.625, 0.126)
Mg (0.375, 0.874, 0.375)
Mg (0.500, 0.000, 0.000)
Mg (0.625, 0.126, 0.375)
Mg (0.625, 0.375, 0.126)
Mg (0.625, 0.625, 0.874)
Mg (0.625, 0.874, 0.625)
Mg (0.874, 0.375, 0.375)
Mg (0.874, 0.625, 0.625)
Mg (0.875, 0.125, 0.125)
Mg (0.875, 0.875, 0.875)
Ge (0.250, 0.250, 0.250)
Ge (0.250, 0.750, 0.750)
Ge (0.500, 0.500, 0.500)
Ge (0.750, 0.250, 0.750)
Ge (0.750, 0.750, 0.250)

Most intense lines, 10° ≤ 2θ ≤ 90°, sorted by position:
two_theta, d (Å), intensity
18.9, 4.707, 14
21.8, 4.076, 7
31.0, 2.882, 56
36.6, 2.458, 100
38.2, 2.353, 19
55.2, 1.664, 21
58.9, 1.569, 32
64.7, 1.441, 23
73.5, 1.289, 9
76.6, 1.243, 11